# Ta2AgPt
Theoretical powder diffraction line list, Cu Kα. Input: a crystal structure in Alexandria, relaxed with GGA-PBE.

a = 4.0366 Å, b = 4.0366 Å, c = 8.4745 Å
α = 90.00°, β = 90.00°, γ = 90.00°
Space group I-4m2 (No. 119)
Unique sites:
Ta  0.0000  0.0000  0.0000
Ta  0.0000  0.5000  0.2500
Ag  0.0000  0.5000  0.7500
Pt  0.0000  0.0000  0.5000

Principal peaks in the range 5 to 70 degrees two-theta, sorted by position:
2theta, d/Å, I (rel.), index
24.43, 3.644, 3, 1 0 1
38.01, 2.367, 100, 1 1 2
42.68, 2.119, 18, 0 0 4
44.91, 2.018, 31, 2 0 0
63.68, 1.461, 22, 2 0 4
65.39, 1.427, 10, 2 2 0


# Dy2UAgS6
Theoretical powder diffraction line list, Cu Kα. Input: a crystal structure in Alexandria, relaxed with GGA-PBE.

a = 6.2747 Å, b = 6.2747 Å, c = 6.6551 Å
α = 90.00°, β = 90.00°, γ = 90.00°
Space group P4mm (No. 99)
Unique sites:
Dy  0.0000  0.5000  0.0000
U  0.0000  0.0000  0.6008
Ag  0.5000  0.5000  0.5157
S  0.0000  0.0000  0.2010
S  0.2566  0.2566  0.7639
S  0.5000  0.5000  0.1571

Principal peaks in the range 5 to 70 degrees two-theta, sorted by position:
2theta, d/Å, I (rel.), index
13.30, 6.655, 16, 0 0 1
24.11, 3.692, 100, 1 1 1
28.45, 3.137, 33, 2 0 0
39.48, 2.283, 35, 2 0 2
40.67, 2.218, 28, 2 2 0
47.84, 1.902, 33, 3 1 1